Starting from a GGA-PBE-relaxed structure, the powder diffraction line list of CsRbF2 was computed for λ = 1.5418 Å (Cu Kα).
No peak broadening, texture or thermal motion is included.

Structural model:
a b c (Å): 5.0623 5.0623 5.0623
angles (deg): 60.00 60.00 60.00
Positions (direct):
1 Cs 0.0000 0.0000 0.0000
2 Rb 0.5000 0.5000 0.5000
3 F 0.2500 0.2500 0.2500
4 F 0.7500 0.7500 0.7500

Most intense lines, 2θ = 10–90°, in order of rising 2θ:
Position (°2θ)	I_rel
24.87	59
35.47	100
43.80	18
51.03	17
57.58	25
63.68	34


Starting from a GGA-PBE-relaxed structure, the powder diffraction line list of NaSi3BO8 was computed for λ = 1.5418 Å (Cu Kα).
No peak broadening, texture or thermal motion is included.

Structural model:
a b c (Å): 6.8918 7.2948 7.5343
angles (deg): 114.95 100.92 106.83
Positions (direct):
1 Na 0.1326 0.2637 0.2510
2 Na 0.8674 0.7363 0.7490
3 Si 0.2097 0.8173 0.1973
4 Si 0.3220 0.8073 0.6016
5 Si 0.3557 0.5546 0.8240
6 Si 0.6443 0.4454 0.1760
7 Si 0.6780 0.1927 0.3984
8 Si 0.7903 0.1827 0.8027
9 B 0.2225 0.1761 0.8505
10 B 0.7775 0.8239 0.1495
11 O 0.0050 0.1438 0.8704
12 O 0.2089 0.7096 0.3496
13 O 0.2121 0.9479 0.7423
14 O 0.2343 0.6563 0.9831
15 O 0.2740 0.2899 0.7351
16 O 0.2766 0.5788 0.6150
17 O 0.3818 0.3049 0.0699
18 O 0.4154 0.0617 0.3246
19 O 0.5846 0.9383 0.6754
20 O 0.6182 0.6951 0.9301
21 O 0.7234 0.4212 0.3850
22 O 0.7260 0.7101 0.2649
23 O 0.7657 0.3437 0.0169
24 O 0.7879 0.0521 0.2577
25 O 0.7911 0.2904 0.6504
26 O 0.9950 0.8562 0.1296

Most intense lines, 2θ = 10–90°, in order of rising 2θ:
Position (°2θ)	I_rel
22.55	100
24.61	38
27.99	39
28.64	83
29.01	72
31.15	47


Starting from a GGA-PBE-relaxed structure, the powder diffraction line list of YPS4 was computed for λ = 1.5418 Å (Cu Kα).
No peak broadening, texture or thermal motion is included.

Structural model:
a b c (Å): 12.2413 12.2413 12.2413
angles (deg): 127.54 127.54 77.37
Positions (direct):
1 Y 0.1250 0.3750 0.7500
2 Y 0.1250 0.8750 0.2500
3 Y 0.3750 0.1250 0.2500
4 Y 0.3750 0.6250 0.7500
5 Y 0.6250 0.3750 0.2500
6 Y 0.6250 0.8750 0.7500
7 Y 0.8750 0.1250 0.7500
8 Y 0.8750 0.6250 0.2500
9 P 0.2117 0.2500 0.4617
10 P 0.2500 0.2883 0.0383
11 P 0.2500 0.7883 0.5383
12 P 0.2883 0.7500 0.0383
13 P 0.7117 0.2500 0.9617
14 P 0.7500 0.2117 0.4617
15 P 0.7500 0.7117 0.9617
16 P 0.7883 0.7500 0.5383
17 S 0.0850 0.8833 0.4741
18 S 0.0907 0.3891 0.9741
19 S 0.0958 0.6639 0.9393
20 S 0.1109 0.4093 0.5259
21 S 0.1167 0.0907 0.2016
22 S 0.1565 0.0958 0.9319
23 S 0.1639 0.5958 0.4393
24 S 0.2245 0.1565 0.5607
25 S 0.2755 0.8361 0.9319
26 S 0.3361 0.7755 0.4319
27 S 0.3435 0.2755 0.9393
28 S 0.3833 0.5850 0.9741
29 S 0.3891 0.9150 0.2984
30 S 0.4042 0.3435 0.5681
31 S 0.4093 0.3833 0.2984
32 S 0.4150 0.8891 0.7984
33 S 0.5850 0.1109 0.2016
34 S 0.5907 0.6167 0.7016
35 S 0.5958 0.6565 0.4319
36 S 0.6109 0.0850 0.7016
37 S 0.6167 0.4150 0.0259
38 S 0.6565 0.7245 0.0607
39 S 0.6639 0.2245 0.5681
40 S 0.7245 0.1639 0.0681
41 S 0.7755 0.8435 0.4393
42 S 0.8361 0.4042 0.5607
43 S 0.8435 0.9042 0.0681
44 S 0.8833 0.9093 0.7984
45 S 0.8891 0.5907 0.4741
46 S 0.9042 0.3361 0.0607
47 S 0.9093 0.6109 0.0259
48 S 0.9150 0.1167 0.5259

Most intense lines, 2θ = 10–90°, in order of rising 2θ:
Position (°2θ)	I_rel
16.38	100
24.86	52
29.92	49
37.16	37
38.23	54
41.85	56